Starting from the PBE geometry in OQMD, the X-ray powder pattern of Cu4Ag was computed for λ = 1.5418 Å (Cu Kα).
Intensities are scaled so that the largest is 100.

Principal peaks in the range 2θ = 10–80°, by angle:
- 33.89°, intensity 8
- 41.68°, intensity 97
- 42.01°, intensity 100
- 47.96°, intensity 34
- 48.72°, intensity 27
- 49.42°, intensity 31
- 70.29°, intensity 7
- 71.23°, intensity 9
- 71.33°, intensity 19
- 71.92°, intensity 16

Crystal structure
Cell lengths 8.420, 3.688, 8.424 Å; angles 90.00, 91.07, 90.00 degrees
Space group C2/m (No. 12)
One atom of each set of equivalent atoms:
Cu 0.048 0.000 0.326 x4
Cu 0.052 0.500 0.862 x4
Cu 0.149 0.000 0.046 x4
Cu 0.243 0.500 0.231 x4
Ag 0.149 0.500 0.561 x4